The following is a computed XRD peak list of AcPm4Ge4. It was derived from DFT lattice parameters and positions (GGA-PBE), using Cu Ka.

Structural model:
Cell: 9.7121 9.7121 5.9565 Å, 90.00 90.00 90.00°
Space group P4_2/n (No. 86, origin choice 2)
Inequivalent atoms, fractional coordinates:
1 Ac 0.2500 0.2500 0.2500 [2 per cell]
2 Pm 0.1036 0.6377 0.1329 [8 per cell]
3 Ge 0.0526 0.5900 0.6412 [8 per cell]

Principal peaks in the range 10 to 90 degrees two-theta, by angle:
17.47 deg, I = 33, hkl 1 0 1
25.38 deg, I = 52, hkl 2 1 1
29.08 deg, I = 100, hkl 1 3 0
31.42 deg, I = 53, hkl 1 0 2
36.61 deg, I = 39, hkl 2 3 1
41.19 deg, I = 60, hkl 3 0 2